[1]
Computed X-ray powder pattern of HoSc4Ni5 for copper Kα, from a PBE-relaxed structure.
Intensities are scaled so that the largest is 1000.

Principal peaks in the range 15 to 90 degrees two-theta, low angle first:
two_theta  I_rel
28.61  86
30.18  86
32.63  84
35.81  93
39.58  1000
40.12  504
56.37  73
58.04  160
71.43  136
72.54  301
85.23  84
86.64  49

Cell and atoms:
Cell: 3.1783 3.1783 16.3213 Å, 90.00 90.00 90.00°
Element x y z (fractional)
Ho: 0.0000 0.0000 0.0000
Sc: 0.0000 0.0000 0.2070
Sc: 0.0000 0.0000 0.4026
Sc: 0.0000 0.0000 0.5974
Sc: 0.0000 0.0000 0.7930
Ni: 0.5000 0.5000 0.1136
Ni: 0.5000 0.5000 0.3053
Ni: 0.5000 0.5000 0.5000
Ni: 0.5000 0.5000 0.6947
Ni: 0.5000 0.5000 0.8864

***

[2]
Computed X-ray powder pattern of Dy6In3O2 for copper Kα, from a PBE-relaxed structure.
Intensities are scaled so that the largest is 1000.

Principal peaks in the range 15 to 90 degrees two-theta, low angle first:
two_theta  I_rel
27.86  471
28.77  130
30.58  218
31.64  147
34.68  1000
36.18  137
38.41  567
48.69  124
53.79  173
55.45  193
67.08  323
68.01  99

Cell and atoms:
Cell: 12.8480 12.8480 12.8480 Å, 158.98 158.98 29.90°
Element x y z (fractional)
Dy: 0.0854 0.5854 0.5000
Dy: 0.1956 0.1956 0.0000
Dy: 0.4146 0.9146 0.5000
Dy: 0.5854 0.0854 0.5000
Dy: 0.8044 0.8044 0.0000
Dy: 0.9146 0.4146 0.5000
In: 0.3242 0.3242 0.0000
In: 0.5000 0.5000 0.0000
In: 0.6758 0.6758 0.0000
O: 0.1010 0.1010 0.0000
O: 0.8990 0.8990 0.0000

***

[3]
Computed X-ray powder pattern of BaAg2HgH for copper Kα, from a PBE-relaxed structure.
Intensities are scaled so that the largest is 1000.

Principal peaks in the range 15 to 90 degrees two-theta, low angle first:
two_theta  I_rel
17.21  36
31.87  1000
34.83  199
38.00  313
52.49  243
54.83  106
60.60  156
64.83  254
66.61  117
85.90  61
86.16  120
89.92  55

Cell and atoms:
Cell: 4.7361 4.7361 5.1518 Å, 90.00 90.00 90.00°
Element x y z (fractional)
Ba: 0.0000 0.0000 0.0000
Ag: 0.0000 0.5000 0.5000
Ag: 0.5000 0.0000 0.5000
Hg: 0.5000 0.5000 0.0000
H: 0.0000 0.0000 0.5000

***

[4]
Computed X-ray powder pattern of Th2ZnGa3Pt6 for copper Kα, from a PBE-relaxed structure.
Intensities are scaled so that the largest is 1000.

Principal peaks in the range 15 to 90 degrees two-theta, low angle first:
two_theta  I_rel
28.26  294
31.57  1000
33.10  428
35.53  327
38.70  378
40.83  207
44.48  624
46.00  339
46.76  258
53.54  208
61.94  224
65.91  235

Cell and atoms:
Cell: 4.0740 4.0740 15.7869 Å, 90.00 90.00 90.00°
Element x y z (fractional)
Th: 0.0000 0.0000 0.2237
Th: 0.0000 0.0000 0.7763
Zn: 0.0000 0.0000 0.5000
Ga: 0.5000 0.5000 0.0000
Ga: 0.5000 0.5000 0.3108
Ga: 0.5000 0.5000 0.6892
Pt: 0.0000 0.5000 0.3982
Pt: 0.0000 0.5000 0.6018
Pt: 0.5000 0.0000 0.3982
Pt: 0.5000 0.0000 0.6018
Pt: 0.5000 0.5000 0.1537
Pt: 0.5000 0.5000 0.8463

***

[5]
Computed X-ray powder pattern of PmPrNd6Er2 for copper Kα, from a PBE-relaxed structure.
Intensities are scaled so that the largest is 1000.

Principal peaks in the range 15 to 90 degrees two-theta, low angle first:
two_theta  I_rel
27.41  180
28.02  448
29.71  588
30.05  505
30.29  186
30.73  1000
30.93  395
31.79  317
33.19  380
33.76  163
36.96  135
52.24  211

Cell and atoms:
Cell: 8.9654 8.9654 9.7700 Å, 93.95 93.95 117.04°
Element x y z (fractional)
Pm: 0.0315 0.9685 0.7500
Pm: 0.9685 0.0315 0.2500
Pr: 0.4065 0.5935 0.2500
Pr: 0.5935 0.4065 0.7500
Nd: 0.0151 0.5629 0.6817
Nd: 0.1088 0.7584 0.0559
Nd: 0.2416 0.8912 0.4441
Nd: 0.2961 0.5132 0.8807
Nd: 0.4371 0.9849 0.8183
Nd: 0.4868 0.7039 0.6193
Nd: 0.5132 0.2961 0.3807
Nd: 0.5629 0.0151 0.1817
Nd: 0.7039 0.4868 0.1193
Nd: 0.7584 0.1088 0.5559
Nd: 0.8912 0.2416 0.9441
Nd: 0.9849 0.4371 0.3183
Er: 0.1976 0.2936 0.5482
Er: 0.2936 0.1976 0.0482
Er: 0.7064 0.8024 0.9518
Er: 0.8024 0.7064 0.4518

***

[6]
Computed X-ray powder pattern of LaPm2HoMg for copper Kα, from a PBE-relaxed structure.
Intensities are scaled so that the largest is 1000.

Principal peaks in the range 15 to 90 degrees two-theta, low angle first:
two_theta  I_rel
21.60  118
28.43  217
28.79  128
31.41  364
32.56  1000
32.89  445
42.87  143
50.79  178
56.65  206
56.86  98
60.33  108
60.94  201

Cell and atoms:
Cell: 6.2873 5.6956 9.4754 Å, 90.00 108.59 90.00°
Element x y z (fractional)
La: 0.0361 0.2500 0.3885
La: 0.9639 0.7500 0.6115
Pm: 0.3748 0.7500 0.3916
Pm: 0.4537 0.2500 0.1975
Pm: 0.5463 0.7500 0.8025
Pm: 0.6252 0.2500 0.6084
Ho: 0.1556 0.7500 0.9981
Ho: 0.8444 0.2500 0.0019
Mg: 0.2303 0.2500 0.8106
Mg: 0.7697 0.7500 0.1894

***

[7]
Computed X-ray powder pattern of Tl2H2SeI2 for copper Kα, from a PBE-relaxed structure.
Intensities are scaled so that the largest is 1000.

Principal peaks in the range 15 to 90 degrees two-theta, low angle first:
two_theta  I_rel
16.34  408
22.03  394
26.21  472
27.17  608
28.87  782
29.22  1000
30.36  259
30.85  261
33.02  283
39.19  272
42.68  302
48.10  209

Cell and atoms:
Cell: 4.6442 6.9420 7.1752 Å, 73.80 77.64 77.02°
Element x y z (fractional)
Tl: 0.0028 0.2506 0.2354
Tl: 0.9972 0.7494 0.7646
H: 0.4694 0.8452 0.3533
H: 0.5306 0.1548 0.6467
Se: 0.5000 0.0000 0.5000
I: 0.3617 0.6966 0.1984
I: 0.6383 0.3034 0.8016

***

[8]
Computed X-ray powder pattern of Cs2BaMgBr6 for copper Kα, from a PBE-relaxed structure.
Intensities are scaled so that the largest is 1000.

Principal peaks in the range 15 to 90 degrees two-theta, low angle first:
two_theta  I_rel
21.45  419
25.21  128
26.35  834
30.51  1000
33.33  168
37.60  168
43.70  696
51.75  324
54.23  232
58.99  121
72.09  275
80.27  197

Cell and atoms:
Cell: 8.2859 8.2859 8.2859 Å, 60.00 60.00 60.00°
Element x y z (fractional)
Cs: 0.2500 0.2500 0.2500
Cs: 0.7500 0.7500 0.7500
Ba: 0.0000 0.0000 0.0000
Mg: 0.5000 0.5000 0.5000
Br: 0.2698 0.2698 0.7302
Br: 0.2698 0.7302 0.2698
Br: 0.2698 0.7302 0.7302
Br: 0.7302 0.2698 0.2698
Br: 0.7302 0.2698 0.7302
Br: 0.7302 0.7302 0.2698

***

[9]
Computed X-ray powder pattern of TbSn6Pd12 for copper Kα, from a PBE-relaxed structure.
Intensities are scaled so that the largest is 1000.

Principal peaks in the range 15 to 90 degrees two-theta, low angle first:
two_theta  I_rel
24.69  356
30.44  291
32.50  1000
34.09  619
38.89  848
40.27  848
42.95  613
44.85  648
48.18  736
64.06  226
69.81  232
77.26  325

Cell and atoms:
Cell: 7.5638 7.5638 7.5638 Å, 106.04 106.04 106.04°
Element x y z (fractional)
Tb: 0.0000 0.0000 0.0000
Sn: 0.2792 0.2792 0.6972
Sn: 0.2792 0.6972 0.2792
Sn: 0.3028 0.7208 0.7208
Sn: 0.6972 0.2792 0.2792
Sn: 0.7208 0.3028 0.7208
Sn: 0.7208 0.7208 0.3028
Pd: 0.1172 0.5000 0.8828
Pd: 0.1172 0.8828 0.5000
Pd: 0.1218 0.3655 0.3655
Pd: 0.3655 0.1218 0.3655
Pd: 0.3655 0.3655 0.1218
Pd: 0.5000 0.1172 0.8828
Pd: 0.5000 0.8828 0.1172
Pd: 0.6345 0.6345 0.8782
Pd: 0.6345 0.8782 0.6345
Pd: 0.8782 0.6345 0.6345
Pd: 0.8828 0.1172 0.5000
Pd: 0.8828 0.5000 0.1172

***

[10]
Computed X-ray powder pattern of NaMg6Co for copper Kα, from a PBE-relaxed structure.
Intensities are scaled so that the largest is 1000.

Principal peaks in the range 15 to 90 degrees two-theta, low angle first:
two_theta  I_rel
24.52  77
34.83  261
35.07  258
37.16  1000
44.89  82
45.15  80
46.82  128
50.26  130
56.74  77
63.98  110
64.29  109
79.17  81

Cell and atoms:
Cell: 10.2352 10.3032 3.2451 Å, 90.00 90.00 90.00°
Element x y z (fractional)
Na: 0.0000 0.0000 0.0000
Na: 0.5000 0.5000 0.0000
Mg: 0.0000 0.2949 0.5000
Mg: 0.0000 0.7051 0.5000
Mg: 0.2056 0.5000 0.5000
Mg: 0.2500 0.2500 0.0000
Mg: 0.2500 0.7500 0.0000
Mg: 0.2944 0.0000 0.5000
Mg: 0.5000 0.2051 0.5000
Mg: 0.5000 0.7949 0.5000
Mg: 0.7056 0.0000 0.5000
Mg: 0.7500 0.2500 0.0000
Mg: 0.7500 0.7500 0.0000
Mg: 0.7944 0.5000 0.5000
Co: 0.0000 0.5000 0.0000
Co: 0.5000 0.0000 0.0000

***

[11]
Computed X-ray powder pattern of LuZrAg for copper Kα, from a PBE-relaxed structure.
Intensities are scaled so that the largest is 1000.

Principal peaks in the range 15 to 90 degrees two-theta, low angle first:
two_theta  I_rel
27.73  72
28.80  25
34.58  1000
38.20  383
43.81  125
48.54  25
55.14  130
59.50  198
66.74  286
72.94  107
74.53  96
81.76  41

Cell and atoms:
Cell: 3.3316 3.3316 12.3999 Å, 90.00 90.00 90.00°
Element x y z (fractional)
Lu: 0.0000 0.0000 0.0000
Lu: 0.5000 0.5000 0.5000
Zr: 0.0000 0.0000 0.6792
Zr: 0.5000 0.5000 0.1792
Ag: 0.0000 0.0000 0.3347
Ag: 0.5000 0.5000 0.8347

***

[12]
Computed X-ray powder pattern of VRuPt2Rh2 for copper Kα, from a PBE-relaxed structure.
Intensities are scaled so that the largest is 1000.

Principal peaks in the range 15 to 90 degrees two-theta, low angle first:
two_theta  I_rel
23.46  140
23.81  216
40.90  446
41.11  1000
41.45  773
42.08  399
59.48  160
60.12  287
75.12  159
75.52  158
76.23  163
84.04  198

Cell and atoms:
Cell: 4.2950 5.4271 7.5825 Å, 90.00 90.00 90.00°
Element x y z (fractional)
V: 0.2500 0.2500 0.0804
V: 0.7500 0.7500 0.9196
Ru: 0.2500 0.7500 0.0825
Ru: 0.7500 0.2500 0.9175
Pt: 0.2500 0.5027 0.7678
Pt: 0.2500 0.9973 0.7678
Pt: 0.7500 0.0027 0.2322
Pt: 0.7500 0.4973 0.2322
Rh: 0.2500 0.2500 0.3983
Rh: 0.2500 0.7500 0.4166
Rh: 0.7500 0.2500 0.5834
Rh: 0.7500 0.7500 0.6017